For Np2MnCuO8, DFT lattice parameters and positions (PBE+U) gives the calculated XRD peak list in this record (Cu Ka).
Lines closer than 0.1° are merged.

Peak list (10 most intense, 5° ≤ 2θ ≤ 70°, by angle)
two_theta	I_rel	index
18.9	68.4	1 1 0
25.5	16.1	0 0 2
26.7	46.8	0 2 0
26.9	47.0	2 0 0
31.9	100.0	1 1 2
37.4	22.4	2 0 2
38.2	23.7	2 2 0
50.5	34.2	1 3 2
50.8	35.6	3 1 2
65.2	19.1	3 3 2

Crystal structure
Unit cell a=6.625 b=6.689 c=6.982 alpha=90.00 beta=90.00 gamma=90.00
Space group Cmmm (No. 65)
Unique sites:
1 Np 0.000 0.000 0.248 (multiplicity 4)
2 Mn 0.000 0.500 0.500 (multiplicity 2)
3 Cu 0.000 0.500 0.000 (multiplicity 2)
4 O 0.000 0.288 0.253 (multiplicity 8)
5 O 0.192 0.000 0.500 (multiplicity 4)
6 O 0.197 0.000 0.000 (multiplicity 4)